(1)
# Er2Zr2Sc7
Simulated X-ray powder pattern, a wavelength of 1.5418 Å. Input: a crystal structure in Alexandria, relaxed with GGA-PBE.
Neutral-atom scattering factors, no anomalous dispersion.

Top 10 peaks for 10° ≤ 2θ ≤ 90°, most intense first:
34.7°, d = 2.588 Å, intensity 100.0
34.3°, d = 2.614 Å, intensity 85.2
14.6°, d = 6.047 Å, intensity 50.1
36.6°, d = 2.457 Å, intensity 43.5
29.4°, d = 3.037 Å, intensity 42.9
21.8°, d = 4.085 Å, intensity 41.8
33.3°, d = 2.692 Å, intensity 41.5
37.6°, d = 2.389 Å, intensity 39.0
12.3°, d = 7.168 Å, intensity 38.9
36.1°, d = 2.485 Å, intensity 29.0

Crystal structure
abc: 6.3601 6.3601 7.4653
angles: 100.04 100.04 102.81
Atoms (fractional coordinates):
Er  0.2160  0.7840  0.0000
Er  0.7840  0.2160  0.0000
Zr  0.0788  0.0788  0.3224
Zr  0.9212  0.9212  0.6776
Sc  0.0048  0.6090  0.3405
Sc  0.3038  0.3038  0.0337
Sc  0.3910  0.9952  0.6595
Sc  0.5000  0.5000  0.5000
Sc  0.6090  0.0048  0.3405
Sc  0.6962  0.6962  0.9663
Sc  0.9952  0.3910  0.6595

(2)
# Dy4Al5Ge6
Simulated X-ray powder pattern, a wavelength of 1.5418 Å. Input: a crystal structure in Alexandria, relaxed with GGA-PBE.
Neutral-atom scattering factors, no anomalous dispersion.

Top 10 peaks for 10° ≤ 2θ ≤ 90°, most intense first:
36.0°, d = 2.498 Å, intensity 100.0
32.3°, d = 2.770 Å, intensity 52.8
31.2°, d = 2.871 Å, intensity 49.6
43.8°, d = 2.068 Å, intensity 44.6
11.7°, d = 7.595 Å, intensity 30.8
29.6°, d = 3.021 Å, intensity 30.8
33.4°, d = 2.686 Å, intensity 30.3
21.9°, d = 4.050 Å, intensity 29.5
31.7°, d = 2.821 Å, intensity 29.5
49.1°, d = 1.856 Å, intensity 27.2

Crystal structure
abc: 10.1844 10.1844 15.1894
angles: 90.00 90.00 156.57
Atoms (fractional coordinates):
Dy  0.0133  0.9867  0.5000
Dy  0.0340  0.9660  0.7750
Dy  0.1678  0.8322  0.3151
Dy  0.1817  0.8183  0.9514
Dy  0.8183  0.1817  0.4514
Dy  0.8322  0.1678  0.8151
Dy  0.9660  0.0340  0.2750
Dy  0.9867  0.0133  0.0000
Al  0.1472  0.8528  0.6336
Al  0.3080  0.6920  0.6273
Al  0.3429  0.6571  0.2845
Al  0.3546  0.6454  0.9861
Al  0.4368  0.5632  0.6987
Al  0.5632  0.4368  0.1987
Al  0.6454  0.3546  0.4861
Al  0.6571  0.3429  0.7845
Al  0.6920  0.3080  0.1273
Al  0.8528  0.1472  0.1336
Ge  0.1063  0.8937  0.1216
Ge  0.2190  0.7810  0.4999
Ge  0.2301  0.7699  0.7637
Ge  0.4213  0.5787  0.4151
Ge  0.4347  0.5653  0.1325
Ge  0.4397  0.5603  0.8633
Ge  0.5603  0.4397  0.3633
Ge  0.5653  0.4347  0.6325
Ge  0.5787  0.4213  0.9151
Ge  0.7699  0.2301  0.2637
Ge  0.7810  0.2190  0.9999
Ge  0.8937  0.1063  0.6216

(3)
# NaTl2Hg5
Simulated X-ray powder pattern, a wavelength of 1.5418 Å. Input: a crystal structure in Alexandria, relaxed with GGA-PBE.
Neutral-atom scattering factors, no anomalous dispersion.

Top 10 peaks for 10° ≤ 2θ ≤ 90°, most intense first:
32.5°, d = 2.752 Å, intensity 100.0
36.7°, d = 2.449 Å, intensity 36.8
63.5°, d = 1.466 Å, intensity 30.1
55.2°, d = 1.663 Å, intensity 22.0
39.8°, d = 2.267 Å, intensity 14.1
52.9°, d = 1.731 Å, intensity 13.1
68.1°, d = 1.376 Å, intensity 11.8
67.6°, d = 1.385 Å, intensity 11.4
87.1°, d = 1.119 Å, intensity 6.7
89.5°, d = 1.095 Å, intensity 6.4

Crystal structure
abc: 9.7056 9.7056 9.7056
angles: 150.77 150.77 41.81
Atoms (fractional coordinates):
Na  0.0000  0.0000  0.0000
Tl  0.2466  0.2466  0.0000
Tl  0.7534  0.7534  0.0000
Hg  0.1199  0.6199  0.5000
Hg  0.3801  0.8801  0.5000
Hg  0.5000  0.5000  0.0000
Hg  0.6199  0.1199  0.5000
Hg  0.8801  0.3801  0.5000

(4)
# AcCeSeO2
Simulated X-ray powder pattern, a wavelength of 1.5418 Å. Input: a crystal structure in Alexandria, relaxed with GGA-PBE.
Neutral-atom scattering factors, no anomalous dispersion.

Top 10 peaks for 10° ≤ 2θ ≤ 90°, most intense first:
30.2°, d = 2.956 Å, intensity 100.0
31.2°, d = 2.866 Å, intensity 41.9
54.9°, d = 1.672 Å, intensity 37.7
23.0°, d = 3.869 Å, intensity 22.3
44.7°, d = 2.027 Å, intensity 21.1
53.1°, d = 1.725 Å, intensity 19.1
42.1°, d = 2.147 Å, intensity 13.4
88.7°, d = 1.102 Å, intensity 9.1
13.7°, d = 6.480 Å, intensity 9.1
62.9°, d = 1.478 Å, intensity 8.9

Crystal structure
abc: 7.0859 7.0859 7.0859
angles: 146.76 146.76 47.72
Atoms (fractional coordinates):
Ac  0.0000  0.0000  0.0000
Ce  0.6979  0.6979  0.0000
Se  0.3513  0.3513  0.0000
O  0.1080  0.6080  0.5000
O  0.6080  0.1080  0.5000

(5)
# CsAg2IBr6
Simulated X-ray powder pattern, a wavelength of 1.5418 Å. Input: a crystal structure in Alexandria, relaxed with GGA-PBE.
Neutral-atom scattering factors, no anomalous dispersion.

Top 10 peaks for 10° ≤ 2θ ≤ 90°, most intense first:
29.5°, d = 3.030 Å, intensity 100.0
22.2°, d = 4.006 Å, intensity 95.6
29.2°, d = 3.061 Å, intensity 86.9
21.1°, d = 4.217 Å, intensity 85.9
17.7°, d = 5.017 Å, intensity 79.9
14.6°, d = 6.059 Å, intensity 78.2
34.4°, d = 2.604 Å, intensity 76.7
26.8°, d = 3.327 Å, intensity 50.7
47.2°, d = 1.925 Å, intensity 42.8
24.6°, d = 3.613 Å, intensity 35.7

Crystal structure
abc: 7.8399 7.8399 7.6957
angles: 112.71 112.71 79.57
Atoms (fractional coordinates):
Cs  0.0000  0.0000  0.0000
Ag  0.1565  0.3478  0.7620
Ag  0.6522  0.8435  0.2380
I  0.5292  0.4708  0.5000
Br  0.3438  0.2235  0.5216
Br  0.3709  0.6291  0.0000
Br  0.5265  0.0181  0.9984
Br  0.7765  0.6562  0.4784
Br  0.9491  0.0509  0.5000
Br  0.9819  0.4735  0.0016

(6)
# CsRbPuI4
Simulated X-ray powder pattern, a wavelength of 1.5418 Å. Input: a crystal structure in Alexandria, relaxed with GGA-PBE.
Neutral-atom scattering factors, no anomalous dispersion.

Top 10 peaks for 10° ≤ 2θ ≤ 90°, most intense first:
28.6°, d = 3.124 Å, intensity 100.0
40.5°, d = 2.228 Å, intensity 59.8
20.1°, d = 4.418 Å, intensity 52.5
27.4°, d = 3.255 Å, intensity 49.0
14.9°, d = 5.938 Å, intensity 47.8
28.1°, d = 3.178 Å, intensity 40.1
40.8°, d = 2.209 Å, intensity 37.9
40.0°, d = 2.254 Å, intensity 35.9
50.3°, d = 1.814 Å, intensity 31.8
27.5°, d = 3.241 Å, intensity 29.5

Crystal structure
abc: 10.5090 10.5090 10.5090
angles: 145.41 145.41 49.72
Atoms (fractional coordinates):
Cs  0.0000  0.0000  0.0000
Rb  0.7247  0.7247  0.0000
Pu  0.3634  0.3634  0.0000
I  0.1966  0.1966  0.0000
I  0.3597  0.8597  0.5000
I  0.5312  0.5312  0.0000
I  0.8597  0.3597  0.5000

(7)
# PPbF6
Simulated X-ray powder pattern, a wavelength of 1.5418 Å. Input: a crystal structure in Alexandria, relaxed with GGA-PBE.
Neutral-atom scattering factors, no anomalous dispersion.

Top 10 peaks for 10° ≤ 2θ ≤ 90°, most intense first:
21.7°, d = 4.104 Å, intensity 100.0
16.6°, d = 5.344 Å, intensity 55.5
10.5°, d = 8.456 Å, intensity 46.1
33.4°, d = 2.685 Å, intensity 35.5
32.2°, d = 2.776 Å, intensity 29.9
26.0°, d = 3.429 Å, intensity 26.7
23.4°, d = 3.795 Å, intensity 26.5
30.8°, d = 2.904 Å, intensity 25.9
32.0°, d = 2.796 Å, intensity 19.9
50.7°, d = 1.800 Å, intensity 18.6

Crystal structure
abc: 5.7359 5.7359 9.1189
angles: 107.47 107.47 73.44
Atoms (fractional coordinates):
P  0.2020  0.2020  0.3263
P  0.7980  0.7980  0.6737
Pb  0.4429  0.3686  0.1239
Pb  0.6314  0.5571  0.8761
F  0.0252  0.1173  0.1520
F  0.0401  0.5092  0.0064
F  0.0410  0.4869  0.3339
F  0.0545  0.1213  0.4154
F  0.0641  0.6004  0.7087
F  0.3996  0.9359  0.2913
F  0.4069  0.3015  0.4794
F  0.4908  0.9599  0.9936
F  0.5131  0.9590  0.6661
F  0.6985  0.5931  0.5206
F  0.8787  0.9455  0.5846
F  0.8827  0.9748  0.8480

What did the first record say?
# Er2Zr2Sc7
Simulated X-ray powder pattern, a wavelength of 1.5418 Å. Input: a crystal structure in Alexandria, relaxed with GGA-PBE.
Neutral-atom scattering factors, no anomalous dispersion.

Top 10 peaks for 10° ≤ 2θ ≤ 90°, most intense first:
34.7°, d = 2.588 Å, intensity 100.0
34.3°, d = 2.614 Å, intensity 85.2
14.6°, d = 6.047 Å, intensity 50.1
36.6°, d = 2.457 Å, intensity 43.5
29.4°, d = 3.037 Å, intensity 42.9
21.8°, d = 4.085 Å, intensity 41.8
33.3°, d = 2.692 Å, intensity 41.5
37.6°, d = 2.389 Å, intensity 39.0
12.3°, d = 7.168 Å, intensity 38.9
36.1°, d = 2.485 Å, intensity 29.0

Crystal structure
abc: 6.3601 6.3601 7.4653
angles: 100.04 100.04 102.81
Atoms (fractional coordinates):
Er  0.2160  0.7840  0.0000
Er  0.7840  0.2160  0.0000
Zr  0.0788  0.0788  0.3224
Zr  0.9212  0.9212  0.6776
Sc  0.0048  0.6090  0.3405
Sc  0.3038  0.3038  0.0337
Sc  0.3910  0.9952  0.6595
Sc  0.5000  0.5000  0.5000
Sc  0.6090  0.0048  0.3405
Sc  0.6962  0.6962  0.9663
Sc  0.9952  0.3910  0.6595